Diffraction record for Pr2Ho5Bi3C2. The XRD peak list is simulated, not measured: it uses DFT lattice parameters and positions (PBE) and Cu Kα X-rays.
Peak positions follow from Bragg's law for the DFT cell and can differ from measured ones.

Crystal structure
Cell lengths 4.864, 4.864, 26.426 Å; angles 90.00, 90.00, 90.00 degrees
Space group I4/mmm (No. 139)
Inequivalent atoms, fractional coordinates:
1 Pr 0.000 0.000 0.194 [4 per cell]
2 Ho 0.000 0.000 0.000 [2 per cell]
3 Ho 0.000 0.500 0.092 [8 per cell]
4 Bi 0.000 0.000 0.322 [4 per cell]
5 Bi 0.000 0.000 0.500 [2 per cell]
6 C 0.000 0.000 0.092 [4 per cell]

Peak list (8 most intense, 2θ = 5–70°, sorted by position)
2θ = 29.3°, rel. 34, (1 1 4)
2θ = 33.0°, rel. 100, (1 1 6)
2θ = 33.9°, rel. 18, (0 0 10)
2θ = 37.0°, rel. 51, (2 0 0)
2θ = 51.0°, rel. 23, (2 0 10)
2θ = 53.3°, rel. 18, (2 2 0)
2θ = 62.4°, rel. 16, (1 1 16)
2θ = 64.1°, rel. 31, (3 1 6)